Diffraction record for CuH3NCl. The powder diffraction line list is calculated, not measured: it uses DFT lattice parameters and positions (PBE) and Cu Kα (λ = 1.5418 Å).
Kinematic intensities with the Lorentz-polarization factor, no thermal factor.

Crystal structure
```
CuH3NCl
1.0
-4.178 4.178 4.178
4.178 -4.178 4.178
4.178 4.178 -4.178
Cu H N Cl
4 12 4 4
Direct
0.000 0.737 0.500 Cu
0.500 0.000 0.737 Cu
0.737 0.500 0.000 Cu
0.763 0.763 0.763 Cu
0.008 0.472 0.644 H
0.028 0.036 0.172 H
0.036 0.172 0.028 H
0.136 0.464 0.492 H
0.172 0.028 0.036 H
0.328 0.364 0.856 H
0.364 0.856 0.328 H
0.464 0.492 0.136 H
0.472 0.644 0.008 H
0.492 0.136 0.464 H
0.644 0.008 0.472 H
0.856 0.328 0.364 H
0.000 0.474 0.500 N
0.026 0.026 0.026 N
0.474 0.500 0.000 N
0.500 0.000 0.474 N
0.000 0.030 0.500 Cl
0.030 0.500 0.000 Cl
0.470 0.470 0.470 Cl
0.500 0.000 0.030 Cl
```

Top 6 peaks for 5 to 70 degrees two-theta, low angle first:
2θ/deg  Rel. int.
14.99  1000
26.12  862
30.25  611
37.28  475
40.39  560
56.12  384



Diffraction record for CuH2N2Cl4. The powder diffraction line list is calculated, not measured: it uses DFT lattice parameters and positions (PBE) and Cu Kα (λ = 1.5418 Å).
Kinematic intensities with the Lorentz-polarization factor, no thermal factor.

Crystal structure
```
CuH2N2Cl4
1.0
7.665 0.000 0.000
0.000 7.665 0.000
0.000 0.000 7.542
Cu H N Cl
2 4 4 8
Direct
0.000 0.000 0.000 Cu
0.500 0.500 0.500 Cu
0.000 0.000 0.405 H
0.000 0.000 0.595 H
0.500 0.500 0.095 H
0.500 0.500 0.905 H
0.000 0.500 0.250 N
0.000 0.500 0.750 N
0.500 0.000 0.250 N
0.500 0.000 0.750 N
0.131 0.131 0.500 Cl
0.188 0.188 0.000 Cl
0.312 0.688 0.500 Cl
0.369 0.631 0.000 Cl
0.631 0.369 0.000 Cl
0.688 0.312 0.500 Cl
0.812 0.812 0.000 Cl
0.869 0.869 0.500 Cl
```

Top 6 peaks for 5 to 70 degrees two-theta, low angle first:
2θ/deg  Rel. int.
16.35  751
23.59  736
25.99  668
28.84  1000
35.39  533
50.55  349